(1)
Calculated powder X-ray diffraction pattern of Al2InAu7 for Cu Kα X-rays, from a cell relaxed with GGA-PBE.
Neutral-atom scattering factors, no anomalous dispersion.

The 10 most intense peaks (10 to 80 degrees two-theta), low angle first:
(hkl)  two_theta  I (rel.)
1 1 0  28.75  42
1 1 2  30.18  23
1 1 4  34.15  26
1 1 6  39.99  100
2 0 0  41.11  60
2 0 8  56.15  23
2 2 0  59.54  20
2 2 8  71.89  17
1 1 14  74.05  17
3 1 6  74.15  33

Structural model:
Cell: 4.3915 4.3915 19.6743 Å, 90.00 90.00 90.00°
Space group I4/mmm (No. 139)
One atom of each set of equivalent atoms:
1 Al 0.0000 0.0000 0.1749
2 In 0.0000 0.0000 0.5000
3 Au 0.0000 0.0000 0.0000
4 Au 0.0000 0.5000 0.1020
5 Au 0.0000 0.5000 0.2500

---

(2)
Calculated powder X-ray diffraction pattern of Nd3Cd2Rh4 for Cu Kα X-rays, from a cell relaxed with GGA-PBE.
Neutral-atom scattering factors, no anomalous dispersion.

The 10 most intense peaks (10 to 80 degrees two-theta), low angle first:
(hkl)  two_theta  I (rel.)
1 1 1  24.04  24
1 1 -2  29.28  45
3 1 0  33.30  100
2 0 -3  34.43  38
1 1 -3  37.12  27
1 1 3  38.05  94
3 1 -2  38.34  40
0 2 0  39.81  72
3 1 2  40.12  36
7 1 -1  68.92  26

Structural model:
Cell: 10.0525 4.5282 8.8266 Å, 90.00 93.50 90.00°
Space group C2/m (No. 12)
One atom of each set of equivalent atoms:
1 Nd 0.0000 0.0000 0.0000
2 Nd 0.1293 0.5000 0.3805
3 Cd 0.1761 0.5000 0.7755
4 Rh 0.0807 0.0000 0.6250
5 Rh 0.2216 0.5000 0.0864

---

(3)
Calculated powder X-ray diffraction pattern of La2TbTmTe5 for Cu Kα X-rays, from a cell relaxed with GGA-PBE.
Neutral-atom scattering factors, no anomalous dispersion.

The 10 most intense peaks (10 to 80 degrees two-theta), low angle first:
(hkl)  two_theta  I (rel.)
1 1 0  23.00  58
1 0 3  28.34  23
0 0 4  30.95  19
2 0 0  32.77  100
1 0 4  35.13  21
2 1 3  43.85  14
2 0 4  45.68  27
2 2 0  47.00  24
2 1 4  48.78  16
2 2 4  57.34  13

Structural model:
Cell: 5.4688 5.4688 11.5577 Å, 90.00 90.00 90.00°
Space group P4/mmm (No. 123)
One atom of each set of equivalent atoms:
1 La 0.0000 0.0000 0.1753
2 Tb 0.5000 0.5000 0.5000
3 Tm 0.5000 0.5000 0.0000
4 Te 0.0000 0.0000 0.5000
5 Te 0.0000 0.5000 0.0000
6 Te 0.5000 0.5000 0.2532

---

(4)
Calculated powder X-ray diffraction pattern of Ta2BeSe for Cu Kα X-rays, from a cell relaxed with GGA-PBE.
Neutral-atom scattering factors, no anomalous dispersion.

The 10 most intense peaks (10 to 80 degrees two-theta), low angle first:
(hkl)  two_theta  I (rel.)
1 1 1  24.65  7
2 0 0  28.54  48
2 2 0  40.80  100
3 1 1  48.26  3
2 2 2  50.55  14
4 0 0  59.08  17
3 3 1  64.99  1
4 2 0  66.90  18
4 2 2  74.29  35
5 1 1  79.65  1

Structural model:
Cell: 6.2548 6.2548 6.2548 Å, 90.00 90.00 90.00°
Space group Fm-3m (No. 225)
One atom of each set of equivalent atoms:
1 Ta 0.2500 0.2500 0.2500
2 Be 0.0000 0.0000 0.0000
3 Se 0.0000 0.0000 0.5000

---

(5)
Calculated powder X-ray diffraction pattern of Nd3Rh3Pb2 for Cu Kα X-rays, from a cell relaxed with GGA-PBE.
Neutral-atom scattering factors, no anomalous dispersion.

The 10 most intense peaks (10 to 80 degrees two-theta), low angle first:
(hkl)  two_theta  I (rel.)
0 1 5  27.10  17
0 0 8  32.74  12
0 1 7  33.84  12
1 1 4  35.05  100
0 2 0  35.99  30
0 0 10  41.27  13
2 0 0  51.37  11
1 3 4  64.10  17
2 2 0  64.32  11
1 1 14  68.17  15

Structural model:
Cell: 3.5571 4.9902 21.8821 Å, 90.00 90.00 90.00°
Space group Immm (No. 71)
One atom of each set of equivalent atoms:
1 Nd 0.0000 0.0000 0.0000
2 Nd 0.0000 0.5000 0.1163
3 Rh 0.0000 0.0000 0.5000
4 Rh 0.0000 0.5000 0.3918
5 Pb 0.0000 0.0000 0.2186

---

(6)
Calculated powder X-ray diffraction pattern of Ce2Hg3Au3 for Cu Kα X-rays, from a cell relaxed with GGA-PBE.
Neutral-atom scattering factors, no anomalous dispersion.

The 10 most intense peaks (10 to 80 degrees two-theta), low angle first:
(hkl)  two_theta  I (rel.)
0 1 2  21.41  3
1 0 4  24.77  1
1 1 0  35.26  100
0 1 8  35.37  97
2 0 8  50.81  35
3 0 0  63.33  55
1 0 16  63.57  17
0 1 17  67.53  1
2 2 0  74.57  12
0 2 16  74.83  11

Structural model:
Cell: 5.0905 5.0905 24.8274 Å, 90.00 90.00 120.00°
Space group R3m (No. 160, hexagonal axes)
One atom of each set of equivalent atoms:
1 Ce 0.0000 0.0000 0.0000
2 Ce 0.0000 0.0000 0.4914
3 Hg 0.0000 0.0000 0.2482
4 Hg 0.0000 0.0000 0.7436
5 Hg 0.0000 0.0000 0.8721
6 Au 0.0000 0.0000 0.1239
7 Au 0.0000 0.0000 0.3690
8 Au 0.0000 0.0000 0.6185

---

(7)
Calculated powder X-ray diffraction pattern of Ac2Zn3In6 for Cu Kα X-rays, from a cell relaxed with GGA-PBE.
Neutral-atom scattering factors, no anomalous dispersion.

The 10 most intense peaks (10 to 80 degrees two-theta), low angle first:
(hkl)  two_theta  I (rel.)
1 1 1  28.60  100
2 0 1  31.16  14
2 1 0  32.46  22
3 0 0  36.96  37
2 1 1  37.93  46
0 0 2  38.75  25
2 2 1  47.38  14
2 1 2  51.42  12
3 0 2  54.62  24
4 1 1  61.56  32

Structural model:
Cell: 8.4259 8.4259 4.6480 Å, 90.00 90.00 120.00°
Space group P-62m (No. 189)
One atom of each set of equivalent atoms:
1 Ac 0.3333 0.6667 0.0000
2 Zn 0.0000 0.6329 0.5000
3 In 0.0000 0.3155 0.5000
4 In 0.0000 0.7981 0.0000

---

(8)
Calculated powder X-ray diffraction pattern of Tb2Ho2Te7 for Cu Kα X-rays, from a cell relaxed with GGA-PBE.
Neutral-atom scattering factors, no anomalous dispersion.

The 10 most intense peaks (10 to 80 degrees two-theta), low angle first:
(hkl)  two_theta  I (rel.)
0 2 2  21.25  17
1 1 2  28.40  34
0 3 3  32.12  23
1 4 1  32.25  100
1 3 2  32.66  35
1 2 3  36.49  66
0 6 2  38.65  31
2 0 0  42.77  30
1 4 5  56.56  26
2 6 2  59.00  18

Structural model:
Cell: 4.2285 15.8705 9.8372 Å, 90.00 90.00 90.00°
Space group Imm2 (No. 44)
One atom of each set of equivalent atoms:
1 Tb 0.0000 0.2425 0.0000
2 Ho 0.0000 0.0000 0.7738
3 Ho 0.0000 0.5000 0.8278
4 Te 0.0000 0.0000 0.0935
5 Te 0.0000 0.1089 0.4985
6 Te 0.0000 0.3239 0.7003
7 Te 0.0000 0.3577 0.3138

---

(9)
Calculated powder X-ray diffraction pattern of Rb3Tl7In2 for Cu Kα X-rays, from a cell relaxed with GGA-PBE.
Neutral-atom scattering factors, no anomalous dispersion.

The 10 most intense peaks (10 to 80 degrees two-theta), low angle first:
(hkl)  two_theta  I (rel.)
1 0 -2  16.90  48
0 1 0  17.87  29
1 1 -1  22.80  34
0 1 3  25.92  37
1 1 3  30.79  90
0 0 5  31.29  31
2 0 2  32.09  85
2 1 1  34.41  36
2 1 -3  35.76  53
0 2 0  36.23  100

Structural model:
Cell: 6.5825 4.9630 14.4846 Å, 90.00 99.27 90.00°
Space group P2/m (No. 10)
One atom of each set of equivalent atoms:
1 Rb 0.0000 0.0000 0.0000
2 Rb 0.3287 0.0000 0.6153
3 Tl 0.1302 0.0000 0.2720
4 Tl 0.1705 0.5000 0.8075
5 Tl 0.1810 0.5000 0.4168
6 Tl 0.5000 0.5000 0.0000
7 In 0.3375 0.5000 0.1941

---

(10)
Calculated powder X-ray diffraction pattern of CsH2Br for Cu Kα X-rays, from a cell relaxed with GGA-PBE.
Neutral-atom scattering factors, no anomalous dispersion.

The 10 most intense peaks (10 to 80 degrees two-theta), low angle first:
(hkl)  two_theta  I (rel.)
0 0 1  10.29  19
0 0 2  20.67  58
1 1 0  24.56  100
1 1 2  32.31  80
2 0 0  34.95  21
0 2 0  35.07  20
1 1 -3  40.11  25
2 0 2  40.95  19
0 2 2  41.05  20
2 2 2  54.98  17

Structural model:
Cell: 5.1348 5.1181 8.5962 Å, 90.00 90.01 90.00°
Space group P2_1/m (No. 11)
One atom of each set of equivalent atoms:
1 Cs 0.2505 0.2500 0.2122
2 H 0.2491 0.6764 0.5352
3 Br 0.2496 0.2500 0.7926

---

(11)
Calculated powder X-ray diffraction pattern of Sr4Li2I9 for Cu Kα X-rays, from a cell relaxed with GGA-PBE.
Neutral-atom scattering factors, no anomalous dispersion.

The 10 most intense peaks (10 to 80 degrees two-theta), low angle first:
(hkl)  two_theta  I (rel.)
1 1 2  14.97  10
0 0 6  23.96  13
2 1 3  25.13  100
2 1 -6  32.78  43
3 3 0  38.68  34
-1 1 9  42.86  23
3 3 6  46.01  10
4 2 3  46.68  15
2 -2 6  51.58  11
3 3 -12  64.15  12

Structural model:
Cell: 8.0635 8.0647 22.2866 Å, 90.00 89.99 60.01°
Space group P-1 (No. 2)
One atom of each set of equivalent atoms:
1 Sr 0.1660 0.1668 0.1785
2 Sr 0.1666 0.1665 0.4897
3 Sr 0.1674 0.1666 0.6785
4 Sr 0.1667 0.1666 0.9897
5 Li 0.4991 0.5008 0.1631
6 Li 0.4995 0.4994 0.3372
7 I 0.1674 0.5213 0.4144
8 I 0.1682 0.8108 0.9145
9 I 0.1887 0.4789 0.0856
10 I 0.1890 0.8323 0.5856
11 I 0.2061 0.7935 0.2501
12 I 0.2075 0.5000 0.7500
13 I 0.4788 0.1896 0.5854
14 I 0.4786 0.8325 0.0856
15 I 0.4992 0.2070 0.2501

---

(12)
Calculated powder X-ray diffraction pattern of SiMoH2 for Cu Kα X-rays, from a cell relaxed with GGA-PBE.
Neutral-atom scattering factors, no anomalous dispersion.

The 10 most intense peaks (10 to 80 degrees two-theta), low angle first:
(hkl)  two_theta  I (rel.)
1 0 1  23.28  50
1 1 2  37.09  100
1 0 3  40.46  12
2 0 0  41.13  36
0 0 4  46.81  12
2 1 1  47.80  14
2 2 0  59.58  12
2 0 4  64.04  20
3 1 2  72.29  27
2 2 4  79.00  11

Structural model:
Cell: 4.3892 4.3892 7.7637 Å, 90.00 90.00 90.00°
Space group I-42d (No. 122)
One atom of each set of equivalent atoms:
1 Si 0.0000 0.0000 0.0000
2 Mo 0.0000 0.0000 0.5000
3 H 0.2434 0.2500 0.6250

---

(13)
Calculated powder X-ray diffraction pattern of Sm3HoSc4 for Cu Kα X-rays, from a cell relaxed with GGA-PBE.
Neutral-atom scattering factors, no anomalous dispersion.

The 10 most intense peaks (10 to 80 degrees two-theta), low angle first:
(hkl)  two_theta  I (rel.)
0 1 0  12.57  35
2 1 1  25.44  41
0 2 1  29.40  20
4 0 0  32.89  35
2 2 1  33.79  100
2 0 2  34.08  44
4 2 1  44.69  16
0 2 3  52.56  18
6 2 1  59.30  19
4 2 3  63.41  20

Structural model:
Cell: 10.8938 7.0409 6.0098 Å, 90.00 90.00 90.00°
Space group Pmn2_1 (No. 31)
One atom of each set of equivalent atoms:
1 Sm 0.0000 0.1361 0.0000
2 Sm 0.2503 0.1356 0.3486
3 Ho 0.0000 0.8623 0.4987
4 Sc 0.0000 0.3868 0.5097
5 Sc 0.0000 0.6131 0.0100
6 Sc 0.2485 0.6128 0.3384